No. 1
Structure and calculated powder diffractogram of DyY4Al4 (a crystal structure in Alexandria, relaxed with GGA-PBE; Cu Ka).
Peak positions follow from Bragg's law for the DFT cell and can differ from measured ones.

Most intense lines, 10 to 90 degrees two-theta, in order of rising 2θ:
- d 4.853, I = 76
- d 4.417, I = 29
- d 3.267, I = 51
- d 2.794, I = 89
- d 2.756, I = 86
- d 2.627, I = 100
- d 2.518, I = 29
- d 2.258, I = 68
- d 2.012, I = 26
- d 1.738, I = 23

Structure:
Unit cell a=8.8347 b=8.8347 c=5.8069 alpha=90.00 beta=90.00 gamma=90.00
Fractional coordinates of all 18 atoms:
Dy  0.2500  0.2500  0.2500
Dy  0.7500  0.7500  0.7500
Y  0.0831  0.8241  0.6350
Y  0.1759  0.5831  0.1350
Y  0.3241  0.9169  0.1350
Y  0.4169  0.6759  0.6350
Y  0.5831  0.3241  0.3650
Y  0.6759  0.0831  0.8650
Y  0.8241  0.4169  0.8650
Y  0.9169  0.1759  0.3650
Al  0.0555  0.1558  0.8482
Al  0.1558  0.4445  0.6518
Al  0.3442  0.0555  0.6518
Al  0.4445  0.3442  0.8482
Al  0.5555  0.6558  0.1518
Al  0.6558  0.9445  0.3482
Al  0.8442  0.5555  0.3482
Al  0.9445  0.8442  0.1518

No. 2
Structure and calculated powder diffractogram of Dy3Y4Al (a crystal structure in Alexandria, relaxed with GGA-PBE; Cu Ka).
Peak positions follow from Bragg's law for the DFT cell and can differ from measured ones.

Most intense lines, 10 to 90 degrees two-theta, in order of rising 2θ:
- d 3.096, I = 18
- d 2.845, I = 100
- d 2.727, I = 10
- d 2.505, I = 40
- d 1.845, I = 13
- d 1.772, I = 14
- d 1.728, I = 14
- d 1.559, I = 13
- d 1.504, I = 29
- d 1.170, I = 10

Structure:
Unit cell a=3.5432 b=3.5432 c=19.0902 alpha=90.00 beta=90.00 gamma=90.00
Fractional coordinates of all 8 atoms:
Dy  0.0000  0.0000  0.0000
Dy  0.0000  0.0000  0.2647
Dy  0.0000  0.0000  0.7353
Y  0.5000  0.5000  0.1331
Y  0.5000  0.5000  0.4001
Y  0.5000  0.5000  0.5999
Y  0.5000  0.5000  0.8669
Al  0.0000  0.0000  0.5000

No. 3
Structure and calculated powder diffractogram of DyY3Al2 (a crystal structure in Alexandria, relaxed with GGA-PBE; Cu Ka).
Peak positions follow from Bragg's law for the DFT cell and can differ from measured ones.

Most intense lines, 10 to 90 degrees two-theta, in order of rising 2θ:
- d 4.500, I = 32
- d 3.713, I = 24
- d 3.074, I = 42
- d 2.764, I = 36
- d 2.701, I = 46
- d 2.690, I = 87
- d 2.654, I = 100
- d 2.556, I = 54
- d 1.857, I = 31
- d 1.485, I = 24

Structure:
Unit cell a=5.1112 b=9.4922 c=6.5714 alpha=90.00 beta=90.00 gamma=90.00
Fractional coordinates of all 12 atoms:
Dy  0.0000  0.0417  0.0000
Dy  0.0000  0.9583  0.5000
Y  0.0000  0.3225  0.6583
Y  0.0000  0.6775  0.1583
Y  0.5000  0.1766  0.2857
Y  0.5000  0.4581  0.9445
Y  0.5000  0.5419  0.4445
Y  0.5000  0.8234  0.7857
Al  0.0000  0.3537  0.1799
Al  0.0000  0.6463  0.6799
Al  0.5000  0.1466  0.7649
Al  0.5000  0.8534  0.2649

No. 4
Structure and calculated powder diffractogram of DyY5Al6 (a crystal structure in Alexandria, relaxed with GGA-PBE; Cu Ka).
Peak positions follow from Bragg's law for the DFT cell and can differ from measured ones.

Most intense lines, 10 to 90 degrees two-theta, in order of rising 2θ:
- d 3.610, I = 34
- d 3.595, I = 17
- d 2.550, I = 100
- d 2.546, I = 20
- d 2.081, I = 15
- d 1.805, I = 14
- d 1.614, I = 10
- d 1.473, I = 28
- d 1.470, I = 14
- d 1.274, I = 9

Structure:
Unit cell a=5.0913 b=7.2256 c=8.0461 alpha=90.00 beta=108.24 gamma=90.00
Fractional coordinates of all 12 atoms:
Dy  0.0000  0.0000  0.0000
Y  0.0000  0.5000  0.0000
Y  0.3334  0.0000  0.6668
Y  0.3335  0.5000  0.6670
Y  0.6666  0.0000  0.3332
Y  0.6665  0.5000  0.3330
Al  0.1666  0.2499  0.3334
Al  0.1666  0.7501  0.3334
Al  0.5000  0.2495  0.0000
Al  0.5000  0.7505  0.0000
Al  0.8334  0.2499  0.6666
Al  0.8334  0.7501  0.6666

No. 5
Structure and calculated powder diffractogram of Dy5Y2Al4 (a crystal structure in Alexandria, relaxed with GGA-PBE; Cu Ka).
Peak positions follow from Bragg's law for the DFT cell and can differ from measured ones.

Most intense lines, 10 to 90 degrees two-theta, in order of rising 2θ:
- d 5.191, I = 33
- d 3.250, I = 40
- d 3.047, I = 54
- d 2.928, I = 100
- d 2.904, I = 44
- d 2.451, I = 53
- d 2.348, I = 36
- d 2.274, I = 41
- d 1.638, I = 34
- d 1.438, I = 26

Structure:
Unit cell a=10.5315 b=10.5315 c=10.5315 alpha=161.76 beta=123.88 gamma=59.52
Fractional coordinates of all 11 atoms:
Dy  0.0000  0.0000  0.0000
Dy  0.1554  0.3196  0.8358
Dy  0.4838  0.3196  0.1642
Dy  0.5162  0.6804  0.8358
Dy  0.8446  0.6804  0.1642
Y  0.1692  0.6692  0.5000
Y  0.8308  0.3308  0.5000
Al  0.2922  0.5000  0.7922
Al  0.4304  0.9304  0.5000
Al  0.5696  0.0696  0.5000
Al  0.7078  0.5000  0.2078

No. 6
Structure and calculated powder diffractogram of Dy2Y2Al (a crystal structure in Alexandria, relaxed with GGA-PBE; Cu Ka).
Peak positions follow from Bragg's law for the DFT cell and can differ from measured ones.

Most intense lines, 10 to 90 degrees two-theta, in order of rising 2θ:
- d 8.549, I = 100
- d 4.231, I = 66
- d 3.291, I = 24
- d 2.786, I = 84
- d 2.568, I = 54
- d 2.477, I = 80
- d 2.379, I = 28
- d 1.851, I = 25
- d 1.483, I = 24
- d 1.407, I = 22

Structure:
Unit cell a=9.0151 b=9.0151 c=9.0151 alpha=31.89 beta=31.89 gamma=31.89
Fractional coordinates of all 5 atoms:
Dy  0.1996  0.1996  0.1996
Dy  0.8004  0.8004  0.8004
Y  0.0669  0.0669  0.0669
Y  0.9331  0.9331  0.9331
Al  0.5000  0.5000  0.5000

No. 7
Structure and calculated powder diffractogram of Dy2Al3Zn5 (a crystal structure in Alexandria, relaxed with GGA-PBE; Cu Ka).
Peak positions follow from Bragg's law for the DFT cell and can differ from measured ones.

Most intense lines, 10 to 90 degrees two-theta, in order of rising 2θ:
- d 3.893, I = 26
- d 2.956, I = 16
- d 2.710, I = 63
- d 2.586, I = 100
- d 2.091, I = 45
- d 1.901, I = 28
- d 1.655, I = 29
- d 1.478, I = 15
- d 1.407, I = 21
- d 1.283, I = 21

Structure:
Unit cell a=4.1811 b=4.1811 c=10.6753 alpha=90.00 beta=90.00 gamma=90.00
Fractional coordinates of all 10 atoms:
Dy  0.0000  0.5000  0.2482
Dy  0.5000  0.0000  0.7518
Al  0.0000  0.5000  0.6446
Al  0.5000  0.0000  0.3554
Al  0.5000  0.5000  0.5000
Zn  0.0000  0.0000  0.0000
Zn  0.0000  0.0000  0.5000
Zn  0.0000  0.5000  0.8703
Zn  0.5000  0.0000  0.1297
Zn  0.5000  0.5000  0.0000

No. 8
Structure and calculated powder diffractogram of Dy2Al5Zn12 (a crystal structure in Alexandria, relaxed with GGA-PBE; Cu Ka).
Peak positions follow from Bragg's law for the DFT cell and can differ from measured ones.

Most intense lines, 10 to 90 degrees two-theta, in order of rising 2θ:
- d 6.767, I = 18
- d 3.384, I = 17
- d 3.171, I = 24
- d 2.621, I = 36
- d 2.538, I = 26
- d 2.270, I = 33
- d 2.256, I = 100
- d 2.215, I = 32
- d 1.432, I = 19
- d 1.287, I = 17

Structure:
Unit cell a=6.8635 b=6.8635 c=6.8635 alpha=82.81 beta=82.81 gamma=82.81
Fractional coordinates of all 19 atoms:
Dy  0.1683  0.1683  0.1683
Dy  0.8317  0.8317  0.8317
Al  0.0000  0.5000  0.5000
Al  0.4012  0.4012  0.4012
Al  0.5000  0.0000  0.5000
Al  0.5000  0.5000  0.0000
Al  0.5988  0.5988  0.5988
Zn  0.1462  0.1462  0.6637
Zn  0.1462  0.6637  0.1462
Zn  0.1963  0.5000  0.8037
Zn  0.1963  0.8037  0.5000
Zn  0.3363  0.8538  0.8538
Zn  0.5000  0.1963  0.8037
Zn  0.5000  0.8037  0.1963
Zn  0.6637  0.1462  0.1462
Zn  0.8037  0.1963  0.5000
Zn  0.8037  0.5000  0.1963
Zn  0.8538  0.3363  0.8538
Zn  0.8538  0.8538  0.3363

No. 9
Structure and calculated powder diffractogram of DyAl3Zn3 (a crystal structure in Alexandria, relaxed with GGA-PBE; Cu Ka).
Peak positions follow from Bragg's law for the DFT cell and can differ from measured ones.

Most intense lines, 10 to 90 degrees two-theta, in order of rising 2θ:
- d 6.822, I = 32
- d 4.178, I = 100
- d 3.411, I = 72
- d 2.954, I = 44
- d 2.642, I = 48
- d 1.969, I = 85
- d 1.868, I = 56
- d 1.393, I = 23
- d 1.289, I = 21
- d 1.159, I = 15

Structure:
Unit cell a=8.3557 b=8.3557 c=8.3557 alpha=60.00 beta=60.00 gamma=60.00
Fractional coordinates of all 14 atoms:
Dy  0.2500  0.2500  0.2500
Dy  0.7500  0.7500  0.7500
Al  0.1559  0.1559  0.8441
Al  0.1559  0.8441  0.1559
Al  0.1559  0.8441  0.8441
Al  0.8441  0.1559  0.1559
Al  0.8441  0.1559  0.8441
Al  0.8441  0.8441  0.1559
Zn  0.3497  0.3497  0.6503
Zn  0.3497  0.6503  0.3497
Zn  0.3497  0.6503  0.6503
Zn  0.6503  0.3497  0.3497
Zn  0.6503  0.3497  0.6503
Zn  0.6503  0.6503  0.3497

No. 10
Structure and calculated powder diffractogram of Dy2Al3Zn6 (a crystal structure in Alexandria, relaxed with GGA-PBE; Cu Ka).
Peak positions follow from Bragg's law for the DFT cell and can differ from measured ones.

Most intense lines, 10 to 90 degrees two-theta, in order of rising 2θ:
- d 3.634, I = 25
- d 3.171, I = 34
- d 3.156, I = 69
- d 2.694, I = 100
- d 2.534, I = 57
- d 2.422, I = 44
- d 2.307, I = 21
- d 2.289, I = 23
- d 2.154, I = 24
- d 2.007, I = 43

Structure:
Unit cell a=7.2678 b=7.2678 c=4.0146 alpha=90.00 beta=90.00 gamma=90.75
Fractional coordinates of all 11 atoms:
Dy  0.2188  0.7812  0.0000
Dy  0.7812  0.2188  0.0000
Al  0.2966  0.2966  0.0000
Al  0.5000  0.5000  0.5000
Al  0.7034  0.7034  0.0000
Zn  0.1158  0.1158  0.5000
Zn  0.1557  0.4657  0.5000
Zn  0.4657  0.1557  0.5000
Zn  0.5343  0.8443  0.5000
Zn  0.8443  0.5343  0.5000
Zn  0.8842  0.8842  0.5000

No. 11
Structure and calculated powder diffractogram of Dy3Al5Zn6 (a crystal structure in Alexandria, relaxed with GGA-PBE; Cu Ka).
Peak positions follow from Bragg's law for the DFT cell and can differ from measured ones.

Most intense lines, 10 to 90 degrees two-theta, in order of rising 2θ:
- d 3.897, I = 29
- d 3.819, I = 18
- d 2.970, I = 17
- d 2.580, I = 32
- d 2.557, I = 32
- d 2.536, I = 100
- d 2.433, I = 30
- d 2.126, I = 30
- d 2.076, I = 16
- d 1.635, I = 16

Structure:
Unit cell a=4.2525 b=12.4539 c=9.7388 alpha=90.00 beta=90.00 gamma=90.00
Fractional coordinates of all 28 atoms:
Dy  0.2500  0.0575  0.2490
Dy  0.2500  0.4425  0.2490
Dy  0.2500  0.7500  0.2478
Dy  0.7500  0.2500  0.7522
Dy  0.7500  0.5575  0.7510
Dy  0.7500  0.9425  0.7510
Al  0.2500  0.0904  0.8857
Al  0.2500  0.4096  0.8857
Al  0.2500  0.6044  0.5216
Al  0.2500  0.7500  0.7460
Al  0.2500  0.8956  0.5216
Al  0.7500  0.1044  0.4784
Al  0.7500  0.2500  0.2540
Al  0.7500  0.3956  0.4784
Al  0.7500  0.5904  0.1143
Al  0.7500  0.9096  0.1143
Zn  0.2500  0.0940  0.6261
Zn  0.2500  0.2500  0.0520
Zn  0.2500  0.2500  0.4547
Zn  0.2500  0.4060  0.6261
Zn  0.2500  0.6130  0.9697
Zn  0.2500  0.8870  0.9697
Zn  0.7500  0.1130  0.0303
Zn  0.7500  0.3870  0.0303
Zn  0.7500  0.5940  0.3739
Zn  0.7500  0.7500  0.5453
Zn  0.7500  0.7500  0.9480
Zn  0.7500  0.9060  0.3739

No. 12
Structure and calculated powder diffractogram of Dy2Al8Zn (a crystal structure in Alexandria, relaxed with GGA-PBE; Cu Ka).
Peak positions follow from Bragg's law for the DFT cell and can differ from measured ones.

Most intense lines, 10 to 90 degrees two-theta, in order of rising 2θ:
- d 4.297, I = 86
- d 3.789, I = 22
- d 3.039, I = 26
- d 2.842, I = 56
- d 2.680, I = 27
- d 2.370, I = 100
- d 2.149, I = 45
- d 1.922, I = 20
- d 1.714, I = 25
- d 1.279, I = 27

Structure:
Unit cell a=4.2972 b=4.2972 c=11.3663 alpha=90.00 beta=90.00 gamma=90.00
Fractional coordinates of all 11 atoms:
Dy  0.0000  0.0000  0.1857
Dy  0.0000  0.0000  0.8143
Al  0.0000  0.5000  0.0000
Al  0.0000  0.5000  0.3728
Al  0.0000  0.5000  0.6272
Al  0.5000  0.0000  0.0000
Al  0.5000  0.0000  0.3728
Al  0.5000  0.0000  0.6272
Al  0.5000  0.5000  0.1929
Al  0.5000  0.5000  0.8071
Zn  0.0000  0.0000  0.5000